Ta3AgPb5: calculated PXRD pattern (Cu Kα), based on a DFT-relaxed cell (PBE, OQMD).
Intensities are scaled so that the largest is 100.

Cell: 5.7058 5.7058 8.9092 Å, 90.00 90.00 120.00°
Atoms (fractional coordinates):
Ta 0.0000 0.5000 0.0000
Ta 0.5000 0.0000 0.0000
Ta 0.5000 0.5000 0.0000
Ag 0.0000 0.0000 0.5000
Pb 0.0000 0.0000 0.0000
Pb 0.3333 0.6667 0.3010
Pb 0.3333 0.6667 0.6990
Pb 0.6667 0.3333 0.3010
Pb 0.6667 0.3333 0.6990

Largest 12 diffraction maxima, by angle, 10° ≤ 2θ ≤ 90°:
Position (°2θ), d_spacing, Rel. int., index
18.0, 4.941, 21, 1 0 0
26.9, 3.309, 50, 1 0 2
30.1, 2.970, 48, 0 0 3
31.4, 2.853, 71, 1 1 0
35.3, 2.545, 20, 1 0 3
37.4, 2.402, 26, 1 1 2
37.8, 2.381, 54, 2 0 1
41.8, 2.161, 100, 2 0 2
44.0, 2.057, 22, 1 1 3
64.5, 1.445, 22, 2 0 5
65.4, 1.426, 27, 2 2 0
73.7, 1.286, 24, 2 2 3